Computed X-ray diffraction stick pattern
Compound: Mg6SnW
Radiation: λ = 1.5418 Å (Cu Kα)
Structure: the GGA-PBE geometry in the Materials Project
Intensities are scaled so that the largest is 100.

Structure:
Unit cell a=5.105 b=6.169 c=6.169 alpha=57.62 beta=90.00 gamma=90.00
Sites, in units of the cell vectors:
Mg  0.000  0.000  0.000
Mg  0.000  0.014  0.486
Mg  0.000  0.486  0.014
Mg  0.000  0.489  0.489
Mg  0.500  0.334  0.831
Mg  0.500  0.831  0.334
Sn  0.500  0.833  0.833
W  0.500  0.333  0.333

Top 6 peaks for 2θ from 10° to 90°, in order of falling intensity:
2θ (°), Rel. int.
38.8, 100
16.4, 78
17.4, 67
24.0, 62
37.7, 56
34.4, 42

Computed X-ray diffraction stick pattern
Compound: CeHSe
Radiation: λ = 1.5418 Å (Cu Kα)
Structure: the GGA-PBE geometry in the Materials Project
Intensities are scaled so that the largest is 100.

Structure:
Unit cell a=4.002 b=4.002 c=7.908 alpha=90.00 beta=90.00 gamma=120.00
Sites, in units of the cell vectors:
Ce  0.333  0.667  0.250
Ce  0.667  0.333  0.750
H  0.333  0.667  0.750
H  0.667  0.333  0.250
Se  0.000  0.000  0.000
Se  0.000  0.000  0.500

Top 6 peaks for 2θ from 10° to 90°, in order of falling intensity:
2θ (°), Rel. int.
28.1, 100
34.4, 93
45.3, 46
43.1, 32
66.5, 29
58.1, 20

Computed X-ray diffraction stick pattern
Compound: K2Al2Si3O12
Radiation: λ = 1.5418 Å (Cu Kα)
Structure: the GGA-PBE geometry in the Materials Project
Intensities are scaled so that the largest is 100.

Structure:
Unit cell a=6.757 b=10.059 c=10.179 alpha=83.57 beta=70.66 gamma=70.46
Sites, in units of the cell vectors:
K  0.000  0.000  0.000
K  0.207  0.502  0.571
K  0.492  0.936  0.073
K  0.775  0.436  0.503
Al  0.031  0.054  0.360
Al  0.604  0.555  0.216
Al  0.866  0.384  0.860
Al  0.939  0.883  0.715
Si  0.021  0.289  0.128
Si  0.091  0.149  0.628
Si  0.345  0.469  0.038
Si  0.361  0.789  0.448
Si  0.594  0.970  0.539
Si  0.931  0.649  0.948
O  0.038  0.162  0.481
O  0.050  0.622  0.324
O  0.081  0.129  0.192
O  0.171  0.596  0.978
O  0.172  0.776  0.593
O  0.238  0.341  0.099
O  0.253  0.895  0.338
O  0.360  0.098  0.601
O  0.396  0.527  0.163
O  0.458  0.808  0.826
O  0.487  0.629  0.384
O  0.493  0.301  0.745
O  0.546  0.844  0.477
O  0.578  0.410  0.913
O  0.584  0.135  0.248
O  0.703  0.911  0.664
O  0.728  0.662  0.092
O  0.769  0.029  0.414
O  0.804  0.395  0.237
O  0.897  0.809  0.884
O  0.930  0.543  0.838
O  0.980  0.043  0.737
O  0.980  0.275  0.981
O  0.990  0.310  0.692

Top 6 peaks for 2θ from 10° to 90°, in order of falling intensity:
2θ (°), Rel. int.
14.7, 100
30.3, 72
30.4, 67
33.8, 51
19.8, 50
33.9, 48

Computed X-ray diffraction stick pattern
Compound: Sn4BRh6
Radiation: λ = 1.5418 Å (Cu Kα)
Structure: the GGA-PBE geometry in the Materials Project
Intensities are scaled so that the largest is 100.

Structure:
Unit cell a=5.677 b=5.677 c=13.879 alpha=90.00 beta=90.00 gamma=120.00
Sites, in units of the cell vectors:
Sn  0.000  0.000  0.250
Sn  0.000  0.000  0.750
Sn  0.333  0.667  0.077
Sn  0.333  0.667  0.423
Sn  0.333  0.667  0.750
Sn  0.667  0.333  0.250
Sn  0.667  0.333  0.577
Sn  0.667  0.333  0.923
B  0.000  0.000  0.000
B  0.000  0.000  0.500
Rh  0.168  0.336  0.593
Rh  0.168  0.336  0.907
Rh  0.168  0.832  0.593
Rh  0.168  0.832  0.907
Rh  0.336  0.168  0.093
Rh  0.336  0.168  0.407
Rh  0.664  0.832  0.593
Rh  0.664  0.832  0.907
Rh  0.832  0.168  0.093
Rh  0.832  0.168  0.407
Rh  0.832  0.664  0.093
Rh  0.832  0.664  0.407

Top 6 peaks for 2θ from 10° to 90°, in order of falling intensity:
2θ (°), Rel. int.
41.6, 100
38.9, 41
79.2, 25
65.8, 23
37.1, 17
72.3, 16

Computed X-ray diffraction stick pattern
Compound: Sm3CuSnSe7
Radiation: λ = 1.5418 Å (Cu Kα)
Structure: the GGA-PBE geometry in the Materials Project
Intensities are scaled so that the largest is 100.

Structure:
Unit cell a=10.494 b=10.494 c=6.379 alpha=90.00 beta=90.00 gamma=120.00
Sites, in units of the cell vectors:
Sm  0.142  0.786  0.000
Sm  0.214  0.356  0.000
Sm  0.356  0.142  0.500
Sm  0.644  0.858  0.000
Sm  0.786  0.644  0.500
Sm  0.858  0.214  0.500
Cu  0.000  0.000  0.060
Cu  0.000  0.000  0.560
Sn  0.333  0.667  0.426
Sn  0.667  0.333  0.926
Se  0.081  0.515  0.248
Se  0.107  0.846  0.546
Se  0.154  0.260  0.546
Se  0.260  0.107  0.046
Se  0.333  0.667  0.823
Se  0.433  0.919  0.248
Se  0.485  0.567  0.248
Se  0.515  0.433  0.748
Se  0.567  0.081  0.748
Se  0.667  0.333  0.323
Se  0.740  0.893  0.546
Se  0.846  0.740  0.046
Se  0.893  0.154  0.046
Se  0.919  0.485  0.748

Top 6 peaks for 2θ from 10° to 90°, in order of falling intensity:
2θ (°), Rel. int.
34.2, 100
34.4, 58
24.0, 58
29.7, 45
29.5, 39
32.7, 34